This entry pairs a crystal structure of VP2O with its theoretical X-ray diffraction stick pattern. Radiation: copper Kα. Structure: DFT lattice parameters and positions (PBE+U).
Kinematic intensities with the Lorentz-polarization factor, no thermal factor.

Top 10 peaks for 10 to 90 degrees two-theta, in order of rising 2θ:
| 2theta | I_rel |
| --- | --- |
| 32.91 | 100 |
| 37.33 | 31 |
| 39.92 | 10 |
| 44.99 | 30 |
| 49.55 | 10 |
| 56.85 | 27 |
| 59.70 | 27 |
| 65.51 | 7 |
| 70.87 | 9 |
| 86.37 | 6 |

Atomic structure:
Unit cell a=5.4642 b=5.4642 c=5.4642 alpha=117.13 beta=117.13 gamma=95.04
Atoms (fractional coordinates):
V 0.0000 0.0000 0.0000
V 0.7500 0.2500 0.5000
P 0.1883 0.6250 0.0633
P 0.3750 0.4383 0.5633
P 0.5617 0.1250 0.9367
P 0.8750 0.8117 0.4367
O 0.2500 0.7500 0.5000
O 0.5000 0.5000 0.0000